Theoretical powder X-ray diffraction pattern
Compound: LaPb3Au8
Radiation: Cu Kα (λ = 1.5418 Å)
Structure: a crystal structure in Alexandria, relaxed with PBE
Lines closer than 0.1° are merged.

Structure:
```
12
Lattice="5.767 0.000 0.000 -2.884 4.995 0.000 0.000 0.000 9.330" Properties=species:S:1:pos:R:3 pbc="T T T"
La 0.000 0.000 0.000
Pb 0.000 0.000 3.628
Pb 2.884 1.665 4.480
Pb 2.884 1.665 8.034
Au 0.000 1.636 6.401
Au -1.467 4.177 6.401
Au 0.000 3.330 4.039
Au 0.000 3.330 8.704
Au 2.884 0.025 1.686
Au 1.464 2.485 1.686
Au 1.467 4.177 6.401
Au 4.304 2.485 1.686
```

Peak list (8 most intense, 10 to 90 degrees two-theta, in order of rising 2θ)
hkl, 2theta, d (Å), I/Imax
1 1 0, 31.0, 2.884, 23.8
1 0 3, 34.0, 2.640, 55.9
1 1 2, 36.6, 2.453, 100.0
0 2 1, 37.3, 2.412, 82.2
2 1 3, 57.1, 1.614, 23.6
3 0 2, 58.9, 1.568, 27.0
0 2 5, 62.1, 1.495, 31.4
2 2 0, 64.6, 1.442, 29.0